1.
Structure and calculated X-ray diffraction stick pattern of Li5Mn2CoO8 (a PBE+U-relaxed structure; Cu Kα (weighted mean of Kα1 and Kα2)).

Structure:
a = 4.969 Å, b = 5.819 Å, c = 5.853 Å
α = 60.56°, β = 89.23°, γ = 73.39°
Atoms (fractional coordinates):
Li 0.000 0.000 0.000
Li 0.000 0.496 0.506
Li 0.497 0.002 0.757
Li 0.503 0.996 0.256
Li 0.996 0.003 0.508
Mn 0.501 0.499 0.747
Mn 0.999 0.502 0.004
Co 0.507 0.496 0.264
O 0.241 0.732 0.873
O 0.245 0.286 0.343
O 0.251 0.273 0.884
O 0.286 0.721 0.402
O 0.731 0.258 0.643
O 0.743 0.279 0.112
O 0.747 0.721 0.132
O 0.750 0.721 0.662

Top 12 peaks for 2θ = 10–90°, sorted by position:
d_spacing, Position (°2θ), I_rel
5.038, 17.61, 89
4.956, 17.90, 86
4.800, 18.48, 1000
4.706, 18.86, 113
2.506, 35.84, 132
2.464, 36.46, 119
2.445, 36.76, 114
2.092, 43.24, 320
2.045, 44.29, 300
2.038, 44.45, 294
1.580, 58.41, 98
1.462, 63.62, 162


2.
Structure and calculated X-ray diffraction stick pattern of Li4Mn3CoO8 (a PBE+U-relaxed structure; Cu Kα (weighted mean of Kα1 and Kα2)).

Structure:
a = 19.588 Å, b = 19.588 Å, c = 19.588 Å
α = 8.76°, β = 8.76°, γ = 8.76°
Atoms (fractional coordinates):
Li 0.125 0.125 0.125
Li 0.373 0.373 0.373
Li 0.627 0.627 0.627
Li 0.875 0.875 0.875
Mn 0.250 0.250 0.250
Mn 0.500 0.500 0.500
Mn 0.750 0.750 0.750
Co 0.000 0.000 0.000
O 0.064 0.064 0.064
O 0.186 0.186 0.186
O 0.315 0.315 0.315
O 0.435 0.435 0.435
O 0.565 0.565 0.565
O 0.685 0.685 0.685
O 0.814 0.814 0.814
O 0.936 0.936 0.936

Top 12 peaks for 2θ = 10–90°, sorted by position:
d_spacing, Position (°2θ), I_rel
4.878, 18.19, 1000
2.552, 35.16, 428
2.442, 36.80, 176
2.115, 42.75, 813
1.941, 46.82, 141
1.627, 56.56, 164
1.496, 62.05, 444
1.431, 65.20, 148
1.276, 74.35, 66
1.222, 78.25, 102
1.184, 81.28, 51
1.101, 88.85, 69